1.
Be17ZnMo: calculated powder diffractogram (copper Kα), based on a GGA-PBE-relaxed structure.
Intensities are scaled so that the largest is 100.

Top 8 peaks for 5° ≤ 2θ ≤ 70°, by angle:
2θ (°), d_spacing, Rel. int.
16.24, 5.458, 94.2
24.46, 3.639, 100.0
34.90, 2.571, 64.5
35.92, 2.500, 35.9
43.03, 2.102, 32.2
43.94, 2.061, 27.6
50.13, 1.820, 63.0
50.92, 1.793, 30.1

Atomic structure:
a = 5.555 Å, b = 5.555 Å, c = 5.555 Å
α = 81.90°, β = 81.90°, γ = 81.90°
Atoms (fractional coordinates):
Be: 0.002 0.499 0.499
Be: 0.061 0.061 0.061
Be: 0.156 0.469 0.856
Be: 0.156 0.856 0.469
Be: 0.172 0.172 0.657
Be: 0.172 0.657 0.172
Be: 0.262 0.262 0.262
Be: 0.323 0.815 0.815
Be: 0.469 0.156 0.856
Be: 0.469 0.856 0.156
Be: 0.499 0.002 0.499
Be: 0.499 0.499 0.002
Be: 0.657 0.172 0.172
Be: 0.815 0.323 0.815
Be: 0.815 0.815 0.323
Be: 0.856 0.156 0.469
Be: 0.856 0.469 0.156
Zn: 0.771 0.771 0.771
Mo: 0.492 0.492 0.492



2.
Zr2Be9Mo: calculated powder diffractogram (copper Kα), based on a GGA-PBE-relaxed structure.
Intensities are scaled so that the largest is 100.

Top 8 peaks for 5° ≤ 2θ ≤ 70°, by angle:
2θ (°), d_spacing, Rel. int.
22.74, 3.910, 100.0
24.56, 3.624, 20.0
36.72, 2.448, 59.4
39.25, 2.295, 53.2
40.19, 2.244, 39.2
45.84, 1.979, 22.7
46.85, 1.939, 33.5
69.50, 1.353, 17.3

Atomic structure:
a = 7.718 Å, b = 7.718 Å, c = 7.718 Å
α = 34.60°, β = 34.60°, γ = 34.60°
Atoms (fractional coordinates):
Zr: 0.138 0.138 0.138
Zr: 0.862 0.862 0.862
Be: 0.074 0.577 0.577
Be: 0.334 0.334 0.334
Be: 0.423 0.423 0.926
Be: 0.423 0.926 0.423
Be: 0.500 0.500 0.500
Be: 0.577 0.074 0.577
Be: 0.577 0.577 0.074
Be: 0.666 0.666 0.666
Be: 0.926 0.423 0.423
Mo: 0.000 0.000 0.000



3.
Be4N: calculated powder diffractogram (copper Kα), based on a GGA-PBE-relaxed structure.
Intensities are scaled so that the largest is 100.

Top 6 peaks for 5° ≤ 2θ ≤ 70°, by angle:
2θ (°), d_spacing, Rel. int.
25.84, 3.448, 100.0
36.87, 2.438, 62.6
45.57, 1.991, 15.4
53.13, 1.724, 70.4
60.00, 1.542, 18.4
66.42, 1.408, 12.1

Atomic structure:
a = 3.448 Å, b = 3.448 Å, c = 3.448 Å
α = 90.00°, β = 90.00°, γ = 90.00°
Atoms (fractional coordinates):
Be: 0.000 0.000 0.000
Be: 0.000 0.500 0.500
Be: 0.500 0.000 0.500
Be: 0.500 0.500 0.000
N: 0.500 0.500 0.500



4.
Be2Nb4N: calculated powder diffractogram (copper Kα), based on a GGA-PBE-relaxed structure.
Intensities are scaled so that the largest is 100.

Top 8 peaks for 5° ≤ 2θ ≤ 70°, by angle:
2θ (°), d_spacing, Rel. int.
13.20, 6.708, 30.0
23.14, 3.844, 31.1
29.92, 2.987, 48.0
34.32, 2.613, 100.0
40.34, 2.236, 30.1
41.70, 2.166, 47.3
45.19, 2.006, 45.6
62.18, 1.493, 40.2

Atomic structure:
a = 4.013 Å, b = 4.013 Å, c = 13.415 Å
α = 90.00°, β = 90.00°, γ = 90.00°
Atoms (fractional coordinates):
Be: 0.000 0.000 0.136
Be: 0.000 0.000 0.864
Be: 0.500 0.500 0.364
Be: 0.500 0.500 0.636
Nb: 0.000 0.000 0.327
Nb: 0.000 0.000 0.673
Nb: 0.000 0.500 0.000
Nb: 0.000 0.500 0.500
Nb: 0.500 0.000 0.000
Nb: 0.500 0.000 0.500
Nb: 0.500 0.500 0.173
Nb: 0.500 0.500 0.827
N: 0.000 0.000 0.500
N: 0.500 0.500 0.000



5.
NdBeNbN3: calculated powder diffractogram (copper Kα), based on a GGA-PBE-relaxed structure.
Intensities are scaled so that the largest is 100.

Top 8 peaks for 5° ≤ 2θ ≤ 70°, by angle:
2θ (°), d_spacing, Rel. int.
13.30, 6.658, 45.3
26.76, 3.331, 76.2
26.95, 3.308, 34.8
31.08, 2.878, 100.0
32.71, 2.738, 43.7
33.29, 2.691, 29.4
39.05, 2.307, 77.2
39.23, 2.297, 55.7

Atomic structure:
a = 6.862 Å, b = 3.192 Å, c = 6.906 Å
α = 90.00°, β = 105.40°, γ = 90.00°
Atoms (fractional coordinates):
Nd: 0.193 0.250 0.223
Nd: 0.807 0.750 0.777
Be: 0.081 0.250 0.601
Be: 0.919 0.750 0.399
Nb: 0.339 0.750 0.836
Nb: 0.661 0.250 0.164
N: 0.119 0.250 0.857
N: 0.172 0.750 0.528
N: 0.446 0.750 0.162
N: 0.554 0.250 0.838
N: 0.828 0.250 0.472
N: 0.881 0.750 0.143



6.
Pa2BeNbN5: calculated powder diffractogram (copper Kα), based on a GGA-PBE-relaxed structure.
Intensities are scaled so that the largest is 100.

Top 8 peaks for 5° ≤ 2θ ≤ 70°, by angle:
2θ (°), d_spacing, Rel. int.
18.12, 4.897, 43.6
26.99, 3.303, 58.0
28.48, 3.134, 74.9
30.54, 2.927, 100.0
32.70, 2.738, 45.8
34.45, 2.603, 52.4
39.87, 2.261, 84.6
48.24, 1.887, 35.2

Atomic structure:
a = 6.800 Å, b = 6.800 Å, c = 9.794 Å
α = 90.00°, β = 90.00°, γ = 152.55°
Atoms (fractional coordinates):
Pa: 0.118 0.882 0.500
Pa: 0.132 0.868 0.118
Pa: 0.868 0.132 0.618
Pa: 0.882 0.118 0.000
Be: 0.497 0.503 0.283
Be: 0.503 0.497 0.783
Nb: 0.192 0.808 0.814
Nb: 0.808 0.192 0.314
N: 0.036 0.964 0.840
N: 0.297 0.703 0.465
N: 0.307 0.693 0.163
N: 0.358 0.642 0.816
N: 0.494 0.506 0.596
N: 0.506 0.494 0.096
N: 0.642 0.358 0.316
N: 0.693 0.307 0.663
N: 0.703 0.297 0.965
N: 0.964 0.036 0.340